Entry 1:
# PmBPd2
Computed X-ray powder pattern, a wavelength of 1.5418 Å. Input: DFT lattice parameters and positions (PBE).

a = 5.4183 Å, b = 5.4183 Å, c = 8.0855 Å
α = 90.00°, β = 90.00°, γ = 120.00°
Atoms (fractional coordinates):
Pm: 0.0000 0.5000 0.1667
Pm: 0.5000 0.0000 0.5000
Pm: 0.5000 0.5000 0.8333
B: 0.0000 0.5000 0.6667
B: 0.5000 0.0000 0.0000
B: 0.5000 0.5000 0.3333
Pd: 0.1527 0.3054 0.5000
Pd: 0.1527 0.8473 0.8333
Pd: 0.3054 0.1527 0.1667
Pd: 0.6946 0.8473 0.1667
Pd: 0.8473 0.1527 0.8333
Pd: 0.8473 0.6946 0.5000

Peak list (8 most intense, 5 to 70 degrees two-theta, sorted by position)
d (Å)  I/Imax
2.709  15
2.695  44
2.569  100
2.251  76
1.620  26
1.536  19
1.459  17
1.355  15

***

Entry 2:
# Pm4B3PdPt12
Computed X-ray powder pattern, a wavelength of 1.5418 Å. Input: DFT lattice parameters and positions (PBE).

a = 7.7949 Å, b = 7.7949 Å, c = 7.7949 Å
α = 109.47°, β = 109.47°, γ = 109.47°
Atoms (fractional coordinates):
Pm: 0.0000 0.0000 0.5000
Pm: 0.0000 0.5000 0.0000
Pm: 0.5000 0.0000 0.0000
Pm: 0.5000 0.5000 0.5000
B: 0.0000 0.5000 0.5000
B: 0.5000 0.0000 0.5000
B: 0.5000 0.5000 0.0000
Pd: 0.0000 0.0000 0.0000
Pt: 0.0000 0.2814 0.2814
Pt: 0.0000 0.7186 0.7186
Pt: 0.2500 0.5000 0.7500
Pt: 0.2500 0.7500 0.5000
Pt: 0.2814 0.0000 0.2814
Pt: 0.2814 0.2814 0.0000
Pt: 0.5000 0.2500 0.7500
Pt: 0.5000 0.7500 0.2500
Pt: 0.7186 0.0000 0.7186
Pt: 0.7186 0.7186 0.0000
Pt: 0.7500 0.2500 0.5000
Pt: 0.7500 0.5000 0.2500

Peak list (8 most intense, 5 to 70 degrees two-theta, sorted by position)
d (Å)  I/Imax
4.500  5
2.598  100
2.406  5
2.250  59
2.121  4
1.919  5
1.591  38
1.357  35

***

Entry 3:
# PrB2Pd7
Computed X-ray powder pattern, a wavelength of 1.5418 Å. Input: DFT lattice parameters and positions (PBE).

a = 6.7223 Å, b = 6.7223 Å, c = 4.1886 Å
α = 90.00°, β = 90.00°, γ = 117.57°
Atoms (fractional coordinates):
Pr: 0.0000 0.0000 0.0000
B: 0.3107 0.6893 0.5000
B: 0.6893 0.3107 0.5000
Pd: 0.0552 0.3369 0.5000
Pd: 0.2747 0.7253 0.0000
Pd: 0.3369 0.0552 0.5000
Pd: 0.5000 0.5000 0.5000
Pd: 0.6631 0.9448 0.5000
Pd: 0.7253 0.2747 0.0000
Pd: 0.9448 0.6631 0.5000

Peak list (8 most intense, 5 to 70 degrees two-theta, sorted by position)
d (Å)  I/Imax
2.678  82
2.620  100
2.370  66
2.217  79
2.094  51
2.000  44
1.986  23
1.522  48